Computed powder diffraction line list
Compound: CdPd6Pt23
Radiation: CuKα
Structure: a PBE-relaxed structure

a = 9.628 Å, b = 9.628 Å, c = 9.628 Å
α = 131.69°, β = 131.69°, γ = 70.72°
Fractional coordinates of all 30 atoms:
Cd 0.000 0.000 0.000
Pd 0.250 0.250 0.000
Pd 0.250 0.250 0.500
Pd 0.250 0.750 0.000
Pd 0.750 0.250 0.000
Pd 0.750 0.750 0.000
Pd 0.750 0.750 0.500
Pt 0.000 0.000 0.500
Pt 0.000 0.500 0.000
Pt 0.000 0.500 0.500
Pt 0.119 0.372 0.747
Pt 0.127 0.870 0.258
Pt 0.130 0.388 0.258
Pt 0.130 0.873 0.742
Pt 0.372 0.119 0.747
Pt 0.372 0.625 0.253
Pt 0.375 0.628 0.747
Pt 0.388 0.130 0.258
Pt 0.500 0.000 0.000
Pt 0.500 0.000 0.500
Pt 0.500 0.500 0.000
Pt 0.500 0.500 0.500
Pt 0.612 0.870 0.742
Pt 0.625 0.372 0.253
Pt 0.628 0.375 0.747
Pt 0.628 0.881 0.253
Pt 0.870 0.127 0.258
Pt 0.870 0.612 0.742
Pt 0.873 0.130 0.742
Pt 0.881 0.628 0.253

Top 12 peaks for 10° ≤ 2θ ≤ 90°, in order of falling intensity:
| 2θ/deg | Rel. int. |
| --- | --- |
| 39.7 | 100.0 |
| 46.1 | 32.9 |
| 81.0 | 25.5 |
| 67.3 | 20.8 |
| 46.2 | 15.9 |
| 81.2 | 12.1 |
| 85.5 | 11.1 |
| 67.2 | 10.7 |
| 25.3 | 7.7 |
| 22.6 | 4.1 |
| 32.1 | 3.6 |
| 41.4 | 2.2 |

***

Computed powder diffraction line list
Compound: Cd4Pd15Pt
Radiation: CuKα
Structure: a PBE-relaxed structure

a = 4.016 Å, b = 4.016 Å, c = 20.171 Å
α = 90.00°, β = 90.00°, γ = 90.00°
Fractional coordinates of all 20 atoms:
Cd 0.000 0.000 0.101
Cd 0.000 0.000 0.302
Cd 0.000 0.000 0.698
Cd 0.000 0.000 0.899
Pd 0.000 0.500 0.000
Pd 0.000 0.500 0.202
Pd 0.000 0.500 0.403
Pd 0.000 0.500 0.597
Pd 0.000 0.500 0.798
Pd 0.500 0.000 0.000
Pd 0.500 0.000 0.202
Pd 0.500 0.000 0.403
Pd 0.500 0.000 0.597
Pd 0.500 0.000 0.798
Pd 0.500 0.500 0.101
Pd 0.500 0.500 0.303
Pd 0.500 0.500 0.500
Pd 0.500 0.500 0.697
Pd 0.500 0.500 0.899
Pt 0.000 0.000 0.500

Top 11 peaks for 10° ≤ 2θ ≤ 90°, in order of falling intensity:
| 2θ/deg | Rel. int. |
| --- | --- |
| 38.8 | 100.0 |
| 45.2 | 32.3 |
| 79.1 | 24.0 |
| 65.6 | 20.3 |
| 44.9 | 16.1 |
| 78.7 | 11.7 |
| 83.2 | 10.5 |
| 65.8 | 10.2 |
| 31.5 | 0.6 |
| 41.6 | 0.5 |
| 13.2 | 0.5 |

***

Computed powder diffraction line list
Compound: Cd3Pd7Pt
Radiation: CuKα
Structure: a PBE-relaxed structure

a = 6.577 Å, b = 6.577 Å, c = 5.176 Å
α = 107.19°, β = 107.19°, γ = 91.52°
Fractional coordinates of all 11 atoms:
Cd 0.000 0.000 0.000
Cd 0.214 0.786 0.500
Cd 0.786 0.214 0.500
Pd 0.083 0.582 0.829
Pd 0.218 0.218 0.542
Pd 0.418 0.917 0.171
Pd 0.500 0.500 0.500
Pd 0.582 0.083 0.829
Pd 0.782 0.782 0.458
Pd 0.917 0.418 0.171
Pt 0.500 0.500 0.000

Top 12 peaks for 10° ≤ 2θ ≤ 90°, in order of falling intensity:
| 2θ/deg | Rel. int. |
| --- | --- |
| 39.5 | 100.0 |
| 38.2 | 72.3 |
| 35.1 | 56.4 |
| 43.9 | 36.0 |
| 52.8 | 28.4 |
| 43.1 | 28.1 |
| 21.8 | 27.5 |
| 28.9 | 26.0 |
| 43.5 | 25.9 |
| 72.4 | 21.1 |
| 44.4 | 20.5 |
| 38.4 | 17.3 |

***

Computed powder diffraction line list
Compound: Cd4PdPt4
Radiation: CuKα
Structure: a PBE-relaxed structure

a = 6.472 Å, b = 6.472 Å, c = 6.472 Å
α = 96.08°, β = 96.08°, γ = 142.00°
Fractional coordinates of all 9 atoms:
Cd 0.000 0.316 0.316
Cd 0.000 0.684 0.684
Cd 0.316 0.000 0.316
Cd 0.684 0.000 0.684
Pd 0.000 0.000 0.000
Pt 0.334 0.334 0.669
Pt 0.334 0.666 0.000
Pt 0.666 0.334 0.000
Pt 0.666 0.666 0.331

Top 12 peaks for 10° ≤ 2θ ≤ 90°, in order of falling intensity:
| 2θ/deg | Rel. int. |
| --- | --- |
| 37.8 | 100.0 |
| 44.4 | 31.1 |
| 77.4 | 22.8 |
| 63.5 | 21.3 |
| 42.9 | 17.8 |
| 75.2 | 13.2 |
| 80.7 | 10.4 |
| 64.6 | 9.7 |
| 20.5 | 4.7 |
| 14.5 | 4.1 |
| 23.5 | 3.7 |
| 43.4 | 3.3 |

***

Computed powder diffraction line list
Compound: CdPd4Pt4
Radiation: CuKα
Structure: a PBE-relaxed structure

a = 6.345 Å, b = 6.345 Å, c = 6.345 Å
α = 95.47°, β = 95.47°, γ = 144.02°
Fractional coordinates of all 9 atoms:
Cd 0.000 0.000 0.000
Pd 0.332 0.332 0.664
Pd 0.332 0.668 0.000
Pd 0.668 0.332 0.000
Pd 0.668 0.668 0.336
Pt 0.000 0.336 0.336
Pt 0.000 0.664 0.664
Pt 0.336 0.000 0.336
Pt 0.664 0.000 0.664

Top 12 peaks for 10° ≤ 2θ ≤ 90°, in order of falling intensity:
| 2θ/deg | Rel. int. |
| --- | --- |
| 39.1 | 100.0 |
| 45.1 | 33.5 |
| 79.1 | 25.6 |
| 66.6 | 20.8 |
| 46.3 | 15.5 |
| 81.0 | 12.1 |
| 84.1 | 11.1 |
| 65.6 | 10.8 |
| 14.7 | 9.0 |
| 32.8 | 4.3 |
| 49.8 | 2.3 |
| 25.0 | 1.4 |

***

Computed powder diffraction line list
Compound: Cd4Pd7Pt
Radiation: CuKα
Structure: a PBE-relaxed structure

a = 5.038 Å, b = 5.674 Å, c = 7.512 Å
α = 79.24°, β = 72.23°, γ = 89.91°
Fractional coordinates of all 12 atoms:
Cd 0.175 0.164 0.327
Cd 0.320 0.572 0.675
Cd 0.680 0.428 0.325
Cd 0.825 0.836 0.673
Pd 0.005 0.756 0.001
Pd 0.173 0.667 0.333
Pd 0.331 0.080 0.667
Pd 0.500 0.500 0.000
Pd 0.669 0.920 0.333
Pd 0.827 0.333 0.667
Pd 0.995 0.244 0.999
Pt 0.500 0.000 0.000

Top 12 peaks for 10° ≤ 2θ ≤ 90°, in order of falling intensity:
| 2θ/deg | Rel. int. |
| --- | --- |
| 38.4 | 100.0 |
| 38.5 | 99.4 |
| 45.2 | 62.4 |
| 43.6 | 34.6 |
| 78.9 | 29.1 |
| 64.5 | 20.9 |
| 65.9 | 19.6 |
| 76.4 | 12.4 |
| 76.7 | 12.4 |
| 79.1 | 11.6 |
| 82.5 | 10.4 |
| 82.2 | 10.4 |

***

Computed powder diffraction line list
Compound: Cd2Pd2Pt3
Radiation: CuKα
Structure: a PBE-relaxed structure

a = 9.157 Å, b = 3.931 Å, c = 8.023 Å
α = 90.00°, β = 117.08°, γ = 90.00°
Fractional coordinates of all 14 atoms:
Cd 0.205 0.000 0.276
Cd 0.295 0.500 0.724
Cd 0.705 0.500 0.276
Cd 0.795 0.000 0.724
Pd 0.154 0.000 0.881
Pd 0.346 0.500 0.119
Pd 0.654 0.500 0.881
Pd 0.846 0.000 0.119
Pt 0.000 0.500 0.000
Pt 0.034 0.500 0.359
Pt 0.466 0.000 0.641
Pt 0.500 0.000 0.000
Pt 0.534 0.000 0.359
Pt 0.966 0.500 0.641

Top 12 peaks for 10° ≤ 2θ ≤ 90°, in order of falling intensity:
| 2θ/deg | Rel. int. |
| --- | --- |
| 41.3 | 100.0 |
| 40.3 | 92.9 |
| 25.1 | 58.4 |
| 43.3 | 48.0 |
| 46.2 | 42.5 |
| 37.4 | 35.6 |
| 40.5 | 28.9 |
| 65.2 | 28.3 |
| 31.9 | 25.7 |
| 82.2 | 24.3 |
| 78.8 | 22.1 |
| 21.8 | 20.3 |

***

Computed powder diffraction line list
Compound: CdPd2Pt3
Radiation: CuKα
Structure: a PBE-relaxed structure

a = 9.374 Å, b = 8.942 Å, c = 4.914 Å
α = 79.36°, β = 69.63°, γ = 31.01°
Fractional coordinates of all 12 atoms:
Cd 0.125 0.125 0.125
Cd 0.875 0.875 0.875
Pd 0.045 0.045 0.705
Pd 0.295 0.295 0.955
Pd 0.705 0.705 0.045
Pd 0.955 0.955 0.295
Pt 0.213 0.213 0.537
Pt 0.375 0.375 0.375
Pt 0.463 0.463 0.787
Pt 0.537 0.537 0.213
Pt 0.625 0.625 0.625
Pt 0.787 0.787 0.463

Top 12 peaks for 10° ≤ 2θ ≤ 90°, in order of falling intensity:
| 2θ/deg | Rel. int. |
| --- | --- |
| 38.8 | 100.0 |
| 39.0 | 96.7 |
| 45.2 | 96.0 |
| 65.9 | 41.2 |
| 79.4 | 35.4 |
| 79.0 | 24.8 |
| 19.8 | 19.0 |
| 79.3 | 12.5 |
| 83.3 | 11.1 |
| 65.5 | 10.7 |
| 83.8 | 10.2 |
| 66.1 | 9.7 |

***

Computed powder diffraction line list
Compound: CdPdPt
Radiation: CuKα
Structure: a PBE-relaxed structure

a = 12.435 Å, b = 2.911 Å, c = 5.689 Å
α = 90.00°, β = 101.33°, γ = 90.00°
Fractional coordinates of all 12 atoms:
Cd 0.164 0.000 0.316
Cd 0.336 0.500 0.684
Cd 0.664 0.500 0.316
Cd 0.836 0.000 0.684
Pd 0.163 0.000 0.821
Pd 0.337 0.500 0.179
Pd 0.663 0.500 0.821
Pd 0.837 0.000 0.179
Pt 0.000 0.500 0.000
Pt 0.000 0.500 0.500
Pt 0.500 0.000 0.000
Pt 0.500 0.000 0.500

Top 12 peaks for 10° ≤ 2θ ≤ 90°, in order of falling intensity:
| 2θ/deg | Rel. int. |
| --- | --- |
| 38.0 | 100.0 |
| 44.6 | 63.5 |
| 39.3 | 30.6 |
| 77.7 | 23.8 |
| 64.0 | 21.0 |
| 65.7 | 19.5 |
| 14.5 | 14.6 |
| 76.9 | 12.2 |
| 79.3 | 11.4 |
| 81.3 | 10.6 |
| 31.6 | 3.6 |
| 32.6 | 3.6 |

***

Computed powder diffraction line list
Compound: CdPd14Pt
Radiation: CuKα
Structure: a PBE-relaxed structure

a = 9.222 Å, b = 5.582 Å, c = 5.582 Å
α = 60.47°, β = 90.00°, γ = 90.00°
Fractional coordinates of all 16 atoms:
Cd 0.000 0.000 0.000
Pd 0.000 0.000 0.501
Pd 0.000 0.501 0.000
Pd 0.249 0.332 0.332
Pd 0.251 0.333 0.830
Pd 0.251 0.830 0.333
Pd 0.253 0.831 0.831
Pd 0.500 0.163 0.163
Pd 0.500 0.163 0.662
Pd 0.500 0.662 0.163
Pd 0.500 0.662 0.662
Pd 0.747 0.831 0.831
Pd 0.749 0.333 0.830
Pd 0.749 0.830 0.333
Pd 0.751 0.332 0.332
Pt 0.000 0.499 0.499

Top 12 peaks for 10° ≤ 2θ ≤ 90°, in order of falling intensity:
| 2θ/deg | Rel. int. |
| --- | --- |
| 42.1 | 100.0 |
| 39.1 | 54.8 |
| 38.3 | 46.7 |
| 42.3 | 44.8 |
| 80.4 | 25.8 |
| 38.6 | 24.8 |
| 47.7 | 24.7 |
| 67.1 | 21.6 |
| 72.8 | 19.1 |
| 47.9 | 13.2 |
| 79.9 | 13.1 |
| 82.1 | 12.6 |

***

Computed powder diffraction line list
Compound: CdPd5Pt4
Radiation: CuKα
Structure: a PBE-relaxed structure

a = 8.193 Å, b = 9.150 Å, c = 4.694 Å
α = 90.00°, β = 90.00°, γ = 90.00°
Fractional coordinates of all 20 atoms:
Cd 0.250 0.250 0.072
Cd 0.750 0.750 0.928
Pd 0.080 0.503 0.250
Pd 0.080 0.997 0.250
Pd 0.250 0.750 0.100
Pd 0.420 0.503 0.250
Pd 0.420 0.997 0.250
Pd 0.580 0.003 0.750
Pd 0.580 0.497 0.750
Pd 0.750 0.250 0.900
Pd 0.920 0.003 0.750
Pd 0.920 0.497 0.750
Pt 0.070 0.750 0.607
Pt 0.250 0.506 0.746
Pt 0.250 0.994 0.746
Pt 0.430 0.750 0.607
Pt 0.570 0.250 0.393
Pt 0.750 0.006 0.254
Pt 0.750 0.494 0.254
Pt 0.930 0.250 0.393

Top 12 peaks for 10° ≤ 2θ ≤ 90°, in order of falling intensity:
| 2θ/deg | Rel. int. |
| --- | --- |
| 43.1 | 100.0 |
| 39.4 | 55.5 |
| 43.3 | 37.1 |
| 35.1 | 23.4 |
| 82.6 | 20.8 |
| 74.0 | 20.5 |
| 14.5 | 17.0 |
| 69.2 | 16.9 |
| 84.8 | 16.5 |
| 28.9 | 15.4 |
| 21.3 | 12.2 |
| 38.1 | 11.7 |

***

Computed powder diffraction line list
Compound: Cd2Pd7Pt3
Radiation: CuKα
Structure: a PBE-relaxed structure

a = 4.633 Å, b = 2.779 Å, c = 15.498 Å
α = 90.00°, β = 92.73°, γ = 90.00°
Fractional coordinates of all 12 atoms:
Cd 0.213 0.000 0.295
Cd 0.787 0.000 0.705
Pd 0.185 0.500 0.141
Pd 0.244 0.000 0.465
Pd 0.307 0.000 0.813
Pd 0.500 0.500 0.000
Pd 0.693 0.000 0.187
Pd 0.756 0.000 0.535
Pd 0.815 0.500 0.859
Pt 0.000 0.000 0.000
Pt 0.274 0.500 0.629
Pt 0.726 0.500 0.371

Top 12 peaks for 10° ≤ 2θ ≤ 90°, in order of falling intensity:
| 2θ/deg | Rel. int. |
| --- | --- |
| 39.9 | 100.0 |
| 39.1 | 50.5 |
| 40.8 | 29.6 |
| 41.3 | 23.2 |
| 34.8 | 15.9 |
| 39.3 | 15.7 |
| 44.1 | 15.6 |
| 38.9 | 14.2 |
| 70.3 | 14.2 |
| 80.8 | 13.0 |
| 67.4 | 10.7 |
| 58.1 | 9.8 |

***

Computed powder diffraction line list
Compound: Cd2PdPt4
Radiation: CuKα
Structure: a PBE-relaxed structure

a = 3.678 Å, b = 3.678 Å, c = 18.987 Å
α = 90.00°, β = 90.00°, γ = 90.00°
Fractional coordinates of all 14 atoms:
Cd 0.000 0.000 0.082
Cd 0.000 0.000 0.918
Cd 0.500 0.500 0.418
Cd 0.500 0.500 0.582
Pd 0.000 0.000 0.500
Pd 0.500 0.500 0.000
Pt 0.000 0.000 0.357
Pt 0.000 0.000 0.643
Pt 0.000 0.500 0.250
Pt 0.000 0.500 0.750
Pt 0.500 0.000 0.250
Pt 0.500 0.000 0.750
Pt 0.500 0.500 0.143
Pt 0.500 0.500 0.857

Top 12 peaks for 10° ≤ 2θ ≤ 90°, in order of falling intensity:
| 2θ/deg | Rel. int. |
| --- | --- |
| 39.5 | 100.0 |
| 41.4 | 80.4 |
| 35.8 | 68.3 |
| 49.6 | 59.8 |
| 66.5 | 39.0 |
| 45.1 | 32.6 |
| 79.7 | 28.6 |
| 28.1 | 27.0 |
| 86.1 | 22.5 |
| 37.9 | 19.3 |
| 72.7 | 19.0 |
| 64.1 | 17.1 |